Ni3H: calculated powder diffractogram (Cu Kα (λ = 1.5418 Å)), based on a GGA-PBE-relaxed structure.
Neutral-atom scattering factors, no anomalous dispersion.

Cell and atoms:
```
Ni3H
1.0
4.962 0.000 0.000
-2.481 4.297 0.000
0.000 0.000 3.566
Ni H
6 2
Direct
0.176 0.352 0.250 Ni
0.176 0.824 0.250 Ni
0.352 0.176 0.750 Ni
0.648 0.824 0.250 Ni
0.824 0.176 0.750 Ni
0.824 0.648 0.750 Ni
0.333 0.667 0.750 H
0.667 0.333 0.250 H
```

Most intense lines, 2θ from 10° to 80°, by angle:
20.67 deg, d = 4.297 Å, rel. 7
32.63 deg, d = 2.744 Å, rel. 48
36.21 deg, d = 2.481 Å, rel. 17
42.05 deg, d = 2.149 Å, rel. 28
49.53 deg, d = 1.840 Å, rel. 100
51.23 deg, d = 1.783 Å, rel. 21
56.67 deg, d = 1.624 Å, rel. 8
62.87 deg, d = 1.478 Å, rel. 5
64.34 deg, d = 1.448 Å, rel. 6
68.36 deg, d = 1.372 Å, rel. 12
76.84 deg, d = 1.241 Å, rel. 15
79.88 deg, d = 1.201 Å, rel. 5

DyNiSb: calculated powder diffractogram (Cu Kα (λ = 1.5418 Å)), based on a GGA-PBE-relaxed structure.
Neutral-atom scattering factors, no anomalous dispersion.

Cell and atoms:
```
DyNiSb
1.0
0.000 3.174 3.174
3.174 0.000 3.174
3.174 3.174 0.000
Dy Ni Sb
1 1 1
Direct
0.000 0.000 0.000 Dy
0.750 0.750 0.750 Ni
0.500 0.500 0.500 Sb
```

Most intense lines, 2θ from 10° to 80°, by angle:
24.28 deg, d = 3.665 Å, rel. 12
28.11 deg, d = 3.174 Å, rel. 50
40.18 deg, d = 2.244 Å, rel. 100
47.50 deg, d = 1.914 Å, rel. 6
49.75 deg, d = 1.833 Å, rel. 14
58.12 deg, d = 1.587 Å, rel. 17
63.92 deg, d = 1.456 Å, rel. 2
65.79 deg, d = 1.419 Å, rel. 19
73.02 deg, d = 1.296 Å, rel. 33
78.25 deg, d = 1.222 Å, rel. 2